Calculated powder XRD pattern of Tl2Cr3F8 for Cu Kα (weighted mean of Kα1 and Kα2), from a structure optimized by DFT (GGA+U).

Peak list (6 most intense, 2θ = 10–90°, by angle)
- 19.45°, intensity 31, hkl 1 -1 0
- 21.11°, intensity 31, hkl 1 1 -1
- 23.45°, intensity 30, hkl 1 -1 1
- 24.99°, intensity 100, hkl -1 1 1
- 26.19°, intensity 35, hkl 1 1 -2
- 29.45°, intensity 41, hkl 0 2 0

Atomic structure:
Cell lengths 5.638, 7.028, 7.430 Å; angles 117.02, 106.15, 94.82 degrees
Space group P-1 (No. 2)
One atom of each set of equivalent atoms:
Tl (0.167, 0.219, 0.423) (multiplicity 2)
Cr (0.000, 0.500, 0.000) (multiplicity 1)
Cr (0.489, 0.761, 0.005) (multiplicity 2)
F (0.105, 0.623, 0.823) (multiplicity 2)
F (0.139, 0.177, 0.824) (multiplicity 2)
F (0.384, 0.629, 0.178) (multiplicity 2)
F (0.456, 0.129, 0.191) (multiplicity 2)